# BaZnGa2Pd
Theoretical X-ray diffraction stick pattern, Cu Kα (λ = 1.5418 Å). Input: a crystal structure in Alexandria, relaxed with PBE.
Kinematic intensities with the Lorentz-polarization factor, no thermal factor.

The 10 most intense peaks (10 to 80 degrees two-theta), sorted by position:
- d = 2.775 Å, I = 100
- d = 2.324 Å, I = 42
- d = 2.036 Å, I = 11
- d = 1.894 Å, I = 9
- d = 1.781 Å, I = 23
- d = 1.644 Å, I = 14
- d = 1.529 Å, I = 14
- d = 1.468 Å, I = 9
- d = 1.414 Å, I = 19
- d = 1.208 Å, I = 6

Structure:
Cell lengths 4.6486, 4.6486, 10.3665 Å; angles 90.00, 90.00, 90.00 degrees
Space group I-4m2 (No. 119)
Asymmetric unit:
Ba: 0.0000 0.0000 0.0000 x2
Zn: 0.0000 0.5000 0.7500 x2
Ga: 0.0000 0.0000 0.3652 x4
Pd: 0.0000 0.5000 0.2500 x2